This entry pairs a crystal structure of Y2UMnC4 with its computed X-ray diffraction stick pattern. Radiation: Cu Kα (λ = 1.5418 Å). Structure: a crystal structure in Alexandria, relaxed with PBE.
Lines closer than 0.1° are merged.

Principal peaks in the range 2θ from 10° to 90°, most intense first:
(1 1 2), 2θ = 31.12°, 2.874 Å, I = 100
(0 2 3), 2θ = 27.35°, 3.261 Å, I = 66
(1 3 1), 2θ = 36.01°, 2.494 Å, I = 60
(0 0 4), 2θ = 30.04°, 2.975 Å, I = 41
(1 3 2), 2θ = 38.40°, 2.344 Å, I = 38
(0 4 0), 2θ = 31.22°, 2.865 Å, I = 35
(0 0 2), 2θ = 14.89°, 5.949 Å, I = 28
(1 3 5), 2θ = 52.60°, 1.740 Å, I = 28
(0 2 1), 2θ = 17.18°, 5.162 Å, I = 25
(1 5 2), 2θ = 50.29°, 1.814 Å, I = 24

Cell and atoms:
a b c (Å): 3.4262 11.4595 11.8986
angles (deg): 90.00 90.00 90.00
Space group Cmcm (No. 63)
Inequivalent atoms, fractional coordinates:
Y 0.0000 0.1327 0.0459
U 0.0000 0.4041 0.2500
Mn 0.0000 0.3322 0.7500
C 0.0000 0.0749 0.2500
C 0.0000 0.2232 0.6418
C 0.0000 0.5000 0.0000

This entry pairs a crystal structure of Ca6Ag2N with its computed X-ray diffraction stick pattern. Radiation: Cu Kα (λ = 1.5418 Å). Structure: a crystal structure in Alexandria, relaxed with PBE.
Lines closer than 0.1° are merged.

Principal peaks in the range 2θ from 10° to 90°, most intense first:
(0 2 2), 2θ = 29.90°, 2.988 Å, I = 100
(0 0 4), 2θ = 36.44°, 2.466 Å, I = 54
(0 2 3), 2θ = 36.29°, 2.475 Å, I = 51
(1 1 -1), 2θ = 17.38°, 5.102 Å, I = 48
(1 3 0), 2θ = 39.28°, 2.294 Å, I = 44
(2 0 0), 2θ = 31.17°, 2.869 Å, I = 41
(2 0 -4), 2θ = 31.75°, 2.819 Å, I = 37
(0 0 2), 2θ = 17.98°, 4.935 Å, I = 32
(2 2 -2), 2θ = 35.18°, 2.551 Å, I = 30
(0 2 1), 2θ = 25.40°, 3.507 Å, I = 25

Cell and atoms:
a b c (Å): 6.9597 7.5043 11.9697
angles (deg): 90.00 124.46 90.00
Space group P2_1/c (No. 14)
Inequivalent atoms, fractional coordinates:
Ca 0.1426 0.0207 0.2367
Ca 0.2145 0.7171 0.0469
Ca 0.3365 0.1728 0.0453
Ag 0.2793 0.0818 0.7496
N 0.0000 0.0000 0.0000

This entry pairs a crystal structure of Ce2CuGe3 with its computed X-ray diffraction stick pattern. Radiation: Cu Kα (λ = 1.5418 Å). Structure: a crystal structure in Alexandria, relaxed with PBE.
Lines closer than 0.1° are merged.

Principal peaks in the range 2θ from 10° to 90°, most intense first:
(2 2 2), 2θ = 32.59°, 2.747 Å, I = 100
(0 2 6), 2θ = 43.08°, 2.100 Å, I = 41
(4 2 6), 2θ = 62.62°, 1.484 Å, I = 27
(2 4 8), 2θ = 72.41°, 1.305 Å, I = 22
(2 0 8), 2θ = 55.05°, 1.668 Å, I = 22
(4 0 0), 2θ = 43.15°, 2.097 Å, I = 14
(0 2 2), 2θ = 24.48°, 3.636 Å, I = 10
(2 6 2), 2θ = 72.26°, 1.308 Å, I = 6
(6 0 8), 2θ = 88.16°, 1.108 Å, I = 6
(0 6 6), 2θ = 78.92°, 1.213 Å, I = 4

Cell and atoms:
a b c (Å): 8.3864 8.4092 14.5269
angles (deg): 90.00 90.00 90.00
Space group Fmmm (No. 69)
Inequivalent atoms, fractional coordinates:
Ce 0.2430 0.0000 0.0000
Ce 0.2500 0.2500 0.2500
Cu 0.0000 0.0000 0.3333
Ge 0.0000 0.0000 0.1710
Ge 0.0000 0.2404 0.4145

This entry pairs a crystal structure of Ba3Li2Al9 with its computed X-ray diffraction stick pattern. Radiation: Cu Kα (λ = 1.5418 Å). Structure: a crystal structure in Alexandria, relaxed with PBE.
Lines closer than 0.1° are merged.

Principal peaks in the range 2θ from 10° to 90°, most intense first:
(1 2 3), 2θ = 32.03°, 2.795 Å, I = 100
(1 3 0), 2θ = 32.36°, 2.766 Å, I = 55
(1 0 3), 2θ = 26.70°, 3.339 Å, I = 53
(1 1 0), 2θ = 20.64°, 4.304 Å, I = 52
(0 1 3), 2θ = 20.81°, 4.268 Å, I = 48
(0 2 0), 2θ = 17.36°, 5.107 Å, I = 41
(0 3 3), 2θ = 32.48°, 2.757 Å, I = 33
(2 0 0), 2θ = 37.92°, 2.373 Å, I = 30
(1 6 3), 2θ = 61.08°, 1.517 Å, I = 23
(0 2 4), 2θ = 30.83°, 2.900 Å, I = 22

Cell and atoms:
a b c (Å): 4.7457 10.2146 14.0947
angles (deg): 90.00 90.00 90.00
Space group Immm (No. 71)
Inequivalent atoms, fractional coordinates:
Ba 0.0000 0.0000 0.0000
Ba 0.0000 0.0000 0.3058
Li 0.0000 0.1941 0.5000
Al 0.0000 0.2746 0.1454
Al 0.0000 0.3616 0.3360
Al 0.0000 0.5000 0.0000

This entry pairs a crystal structure of PrNd2Sm2Er2 with its computed X-ray diffraction stick pattern. Radiation: Cu Kα (λ = 1.5418 Å). Structure: a crystal structure in Alexandria, relaxed with PBE.
Lines closer than 0.1° are merged.

Principal peaks in the range 2θ from 10° to 90°, most intense first:
(1 1 2), 2θ = 30.18°, 2.961 Å, I = 100
(3 1 -1), 2θ = 30.29°, 2.951 Å, I = 99
(5 1 3), 2θ = 59.91°, 1.544 Å, I = 57
(2 0 4), 2θ = 50.31°, 1.814 Å, I = 36
(4 2 1), 2θ = 50.51°, 1.807 Å, I = 36
(2 0 -3), 2θ = 34.94°, 2.568 Å, I = 34
(0 2 0), 2θ = 35.05°, 2.560 Å, I = 34
(4 0 1), 2θ = 35.16°, 2.553 Å, I = 33
(1 1 -5), 2θ = 59.68°, 1.549 Å, I = 14
(7 1 0), 2θ = 60.15°, 1.538 Å, I = 14

Cell and atoms:
a b c (Å): 11.4055 5.1205 8.1278
angles (deg): 90.00 98.16 90.00
Space group C2/m (No. 12)
Inequivalent atoms, fractional coordinates:
Pr 0.0000 0.0000 0.0000
Nd 0.0719 0.5000 0.7165
Sm 0.1435 0.0000 0.4300
Er 0.2147 0.5000 0.1425

This entry pairs a crystal structure of Mg4TlPb3 with its computed X-ray diffraction stick pattern. Radiation: Cu Kα (λ = 1.5418 Å). Structure: a crystal structure in Alexandria, relaxed with PBE.
Lines closer than 0.1° are merged.

Principal peaks in the range 2θ from 10° to 90°, most intense first:
(1 0 4), 2θ = 33.56°, 2.670 Å, I = 100
(1 0 0), 2θ = 24.53°, 3.629 Å, I = 66
(1 1 0), 2θ = 34.97°, 2.566 Å, I = 45
(0 0 4), 2θ = 22.55°, 3.943 Å, I = 40
(2 1 4), 2θ = 61.82°, 1.501 Å, I = 35
(1 1 4), 2θ = 42.01°, 2.151 Å, I = 33
(1 1 8), 2θ = 59.09°, 1.563 Å, I = 20
(1 0 8), 2θ = 52.85°, 1.732 Å, I = 17
(2 0 0), 2θ = 50.28°, 1.815 Å, I = 16
(2 0 4), 2θ = 55.77°, 1.648 Å, I = 15

Cell and atoms:
a b c (Å): 3.6290 3.6290 15.7705
angles (deg): 90.00 90.00 90.00
Space group P4/mmm (No. 123)
Inequivalent atoms, fractional coordinates:
Mg 0.0000 0.0000 0.1149
Mg 0.0000 0.0000 0.3711
Tl 0.5000 0.5000 0.0000
Pb 0.5000 0.5000 0.2458
Pb 0.5000 0.5000 0.5000

This entry pairs a crystal structure of KSb with its computed X-ray diffraction stick pattern. Radiation: Cu Kα (λ = 1.5418 Å). Structure: a crystal structure in Alexandria, relaxed with PBE.
Lines closer than 0.1° are merged.

Principal peaks in the range 2θ from 10° to 90°, most intense first:
(1 1 -4), 2θ = 29.22°, 3.056 Å, I = 100
(0 2 3), 2θ = 33.47°, 2.677 Å, I = 90
(2 0 0), 2θ = 27.04°, 3.298 Å, I = 89
(1 0 0), 2θ = 13.42°, 6.596 Å, I = 77
(0 1 2), 2θ = 19.13°, 4.638 Å, I = 76
(2 2 -3), 2θ = 36.91°, 2.435 Å, I = 75
(1 0 -4), 2θ = 26.28°, 3.391 Å, I = 72
(1 1 -1), 2θ = 17.54°, 5.057 Å, I = 65
(0 0 2), 2θ = 14.42°, 6.142 Å, I = 62
(1 2 1), 2θ = 30.98°, 2.887 Å, I = 57

Cell and atoms:
a b c (Å): 7.2849 7.0755 13.5677
angles (deg): 90.00 115.12 90.00
Space group P2_1/c (No. 14)
Inequivalent atoms, fractional coordinates:
K 0.2201 0.1016 0.3304
K 0.2423 0.6664 0.5341
Sb 0.3207 0.1660 0.6230
Sb 0.3220 0.6003 0.2867

This entry pairs a crystal structure of Mg2Zn3Hg with its computed X-ray diffraction stick pattern. Radiation: Cu Kα (λ = 1.5418 Å). Structure: a crystal structure in Alexandria, relaxed with PBE.
Lines closer than 0.1° are merged.

Principal peaks in the range 2θ from 10° to 90°, most intense first:
(0 1 3), 2θ = 39.77°, 2.267 Å, I = 100
(1 1 1), 2θ = 36.66°, 2.451 Å, I = 97
(1 0 0), 2θ = 28.23°, 3.161 Å, I = 77
(0 1 1), 2θ = 22.90°, 3.883 Å, I = 74
(1 1 3), 2θ = 49.48°, 1.842 Å, I = 64
(0 0 1), 2θ = 11.21°, 7.896 Å, I = 59
(0 2 0), 2θ = 40.46°, 2.230 Å, I = 49
(1 0 2), 2θ = 36.41°, 2.468 Å, I = 45
(0 0 2), 2θ = 22.52°, 3.948 Å, I = 33
(2 1 3), 2θ = 72.97°, 1.296 Å, I = 32

Cell and atoms:
a b c (Å): 3.1610 4.4593 7.8960
angles (deg): 90.00 90.00 90.00
Space group Pmm2 (No. 25)
Inequivalent atoms, fractional coordinates:
Mg 0.0000 0.0000 0.0000
Mg 0.0000 0.5000 0.4855
Zn 0.5000 0.0000 0.3229
Zn 0.5000 0.0000 0.6410
Zn 0.5000 0.5000 0.1696
Hg 0.5000 0.5000 0.8285